SrSiO3: theoretical XRD peak list (Cu Kα (λ = 1.5418 Å)), based on a cell relaxed with PBE.
Peak positions follow from Bragg's law for the DFT cell and can differ from measured ones.

Most intense lines, 10° ≤ 2θ ≤ 90°, sorted by position:
| Position (°2θ) | intensity | hkl |
| --- | --- | --- |
| 24.06 | 20 | 1 0 0 |
| 34.28 | 100 | 1 1 0 |
| 42.32 | 42 | 1 1 1 |
| 49.27 | 45 | 2 0 0 |
| 55.55 | 11 | 2 1 0 |
| 61.40 | 38 | 2 1 1 |
| 72.24 | 26 | 2 2 0 |
| 77.40 | 5 | 3 0 0 |
| 82.46 | 18 | 3 1 0 |
| 87.46 | 12 | 3 1 1 |

```
data_SrSiO3
_chemical_formula_sum 'Sr1 Si1 O3'
_cell_length_a 3.6989
_cell_length_b 3.6989
_cell_length_c 3.6989
_cell_angle_alpha 90.00
_cell_angle_beta 90.00
_cell_angle_gamma 90.00
_symmetry_space_group_name_H-M 'P m -3 m'
_symmetry_Int_Tables_number 221
_symmetry_space_group_name_Hall '-P 4 2 3'
loop_
_atom_site_label
_atom_site_type_symbol
_atom_site_fract_x
_atom_site_fract_y
_atom_site_fract_z
Sr1 Sr 0.0000 0.0000 0.0000
Si1 Si 0.5000 0.5000 0.5000
O1 O 0.0000 0.5000 0.5000
```

SiO2: theoretical XRD peak list (Cu Kα (λ = 1.5418 Å)), based on a cell relaxed with PBE.
Peak positions follow from Bragg's law for the DFT cell and can differ from measured ones.

Most intense lines, 10° ≤ 2θ ≤ 90°, sorted by position:
| Position (°2θ) | intensity | hkl |
| --- | --- | --- |
| 11.71 | 51 | 1 0 1 |
| 12.84 | 100 | 0 0 4 |
| 14.83 | 55 | 1 0 3 |
| 17.21 | 24 | 1 1 2 |
| 22.63 | 28 | 2 0 0 |
| 23.55 | 53 | 2 0 2 |
| 25.28 | 33 | 1 0 7 |
| 26.11 | 32 | 2 0 4 |
| 27.17 | 33 | 2 1 3 |
| 31.33 | 14 | 1 0 9 |

```
data_SiO2
_chemical_formula_sum 'Si32 O64'
_cell_length_a 7.8568
_cell_length_b 7.8568
_cell_length_c 27.5852
_cell_angle_alpha 90.00
_cell_angle_beta 90.00
_cell_angle_gamma 90.00
_symmetry_space_group_name_H-M 'I 41/a m d'
_symmetry_Int_Tables_number 141
loop_
_symmetry_equiv_pos_as_xyz
'x,y,z'
'-x,-y,-z'
'-y+1/4,x+3/4,z+1/4'
'y+1/4,-x+3/4,-z+1/4'
'-x+1/2,-y,z+1/2'
'x+1/2,y,-z+1/2'
'y+1/4,-x+1/4,z+3/4'
'-y+1/4,x+1/4,-z+3/4'
'x,-y,-z'
'-x,y,z'
'-y+1/4,-x+1/4,-z+3/4'
'y+1/4,x+1/4,z+3/4'
'-x+1/2,y,-z+1/2'
'x+1/2,-y,z+1/2'
'y+1/4,x+3/4,-z+1/4'
'-y+1/4,-x+3/4,z+1/4'
'x+1/2,y+1/2,z+1/2'
'-x+1/2,-y+1/2,-z+1/2'
'-y+3/4,x+1/4,z+3/4'
'y+3/4,-x+1/4,-z+3/4'
'-x,-y+1/2,z'
'x,y+1/2,-z'
'y+3/4,-x+3/4,z+1/4'
'-y+3/4,x+3/4,-z+1/4'
'x+1/2,-y+1/2,-z+1/2'
'-x+1/2,y+1/2,z+1/2'
'-y+3/4,-x+3/4,-z+1/4'
'y+3/4,x+3/4,z+1/4'
'-x,y+1/2,-z'
'x,-y+1/2,z'
'y+3/4,x+1/4,-z+3/4'
'-y+3/4,-x+1/4,z+3/4'
loop_
_atom_site_label
_atom_site_type_symbol
_atom_site_fract_x
_atom_site_fract_y
_atom_site_fract_z
Si1 Si 0.0000 0.0465 0.4431
Si2 Si 0.1924 0.0576 0.8750
O1 O 0.0000 0.0000 0.5000
O2 O 0.0000 0.0347 0.8967
O3 O 0.0000 0.2500 0.3144
O4 O 0.1714 0.0304 0.5814
```

Nd12Co6Pb: theoretical XRD peak list (Cu Kα (λ = 1.5418 Å)), based on a cell relaxed with PBE.
Peak positions follow from Bragg's law for the DFT cell and can differ from measured ones.

Most intense lines, 10° ≤ 2θ ≤ 90°, sorted by position:
| Position (°2θ) | intensity | hkl |
| --- | --- | --- |
| 28.04 | 50 | 3 0 1 |
| 30.77 | 49 | 2 2 2 |
| 33.31 | 100 | 3 1 2 |
| 35.68 | 18 | 4 0 0 |
| 45.98 | 28 | 5 0 1 |
| 53.06 | 35 | 5 3 0 |
| 56.35 | 37 | 5 2 3 |
| 65.59 | 19 | 5 3 4 |
| 81.08 | 18 | 8 2 2 |
| 82.43 | 17 | 7 0 5 |

```
data_Nd12Co6Pb
_chemical_formula_sum 'Nd24 Co12 Pb2'
_cell_length_a 10.0645
_cell_length_b 10.0645
_cell_length_c 10.0645
_cell_angle_alpha 90.00
_cell_angle_beta 90.00
_cell_angle_gamma 90.00
_symmetry_space_group_name_H-M 'I m -3'
_symmetry_Int_Tables_number 204
_symmetry_space_group_name_Hall '-I 2 2 3'
loop_
_atom_site_label
_atom_site_type_symbol
_atom_site_fract_x
_atom_site_fract_y
_atom_site_fract_z
Nd1 Nd 0.0000 0.3085 0.1909
Co1 Co 0.0000 0.1103 0.5000
Pb1 Pb 0.0000 0.0000 0.0000
```

Li3AlSiO5: theoretical XRD peak list (Cu Kα (λ = 1.5418 Å)), based on a cell relaxed with PBE.
Peak positions follow from Bragg's law for the DFT cell and can differ from measured ones.

Most intense lines, 10° ≤ 2θ ≤ 90°, sorted by position:
| Position (°2θ) | intensity | hkl |
| --- | --- | --- |
| 20.03 | 100 | 1 2 0 |
| 25.07 | 83 | 0 3 1 |
| 27.28 | 28 | 1 2 1 |
| 33.07 | 79 | 1 5 0 |
| 33.34 | 43 | 2 0 0 |
| 37.14 | 67 | 0 0 2 |
| 38.07 | 39 | 1 5 1 |
| 59.42 | 41 | 3 5 0 |
| 67.56 | 31 | 1 5 3 |
| 72.17 | 28 | 3 5 2 |

```
data_Li3AlSiO5
_chemical_formula_sum 'Li12 Al4 Si4 O20'
_cell_length_a 5.3744
_cell_length_b 15.6811
_cell_length_c 4.8420
_cell_angle_alpha 90.00
_cell_angle_beta 90.00
_cell_angle_gamma 90.00
_symmetry_space_group_name_H-M 'P n a 21'
_symmetry_Int_Tables_number 33
loop_
_symmetry_equiv_pos_as_xyz
'x,y,z'
'-x,-y,z+1/2'
'-x+1/2,y+1/2,z+1/2'
'x+1/2,-y+1/2,z'
loop_
_atom_site_label
_atom_site_type_symbol
_atom_site_fract_x
_atom_site_fract_y
_atom_site_fract_z
Li1 Li 0.1648 0.0042 0.0000
Li2 Li 0.1699 0.5954 0.0021
Li3 Li 0.1722 0.1968 0.0021
Al1 Al 0.1720 0.7998 0.0036
Si1 Si 0.1665 0.4017 0.9998
O1 O 0.1237 0.6025 0.4078
O2 O 0.1457 0.2096 0.4141
O3 O 0.1871 0.9869 0.4040
O4 O 0.1877 0.8140 0.3719
O5 O 0.1913 0.3908 0.3444
```

SnSO4: theoretical XRD peak list (Cu Kα (λ = 1.5418 Å)), based on a cell relaxed with PBE.
Peak positions follow from Bragg's law for the DFT cell and can differ from measured ones.

Most intense lines, 10° ≤ 2θ ≤ 90°, sorted by position:
| Position (°2θ) | intensity | hkl |
| --- | --- | --- |
| 19.42 | 48 | 0 0 2 |
| 20.58 | 25 | 1 1 0 |
| 24.55 | 92 | 0 2 0 |
| 25.19 | 24 | 1 0 -2 |
| 25.65 | 28 | 1 0 2 |
| 27.94 | 44 | -1 1 2 |
| 28.26 | 100 | 1 1 -2 |
| 28.67 | 53 | 1 1 2 |
| 32.83 | 37 | 2 0 0 |
| 41.42 | 31 | 0 1 -4 |

```
data_SnSO4
_chemical_formula_sum 'Sn4 S4 O16'
_cell_length_a 5.4583
_cell_length_b 7.2530
_cell_length_c 9.1440
_cell_angle_alpha 90.08
_cell_angle_beta 91.03
_cell_angle_gamma 91.25
_symmetry_space_group_name_H-M 'P -1'
_symmetry_Int_Tables_number 2
loop_
_symmetry_equiv_pos_as_xyz
'x,y,z'
'-x,-y,-z'
loop_
_atom_site_label
_atom_site_type_symbol
_atom_site_fract_x
_atom_site_fract_y
_atom_site_fract_z
Sn1 Sn 0.1980 0.2847 0.2158
Sn2 Sn 0.2895 0.2196 0.7147
S1 S 0.2313 0.8173 0.0744
S2 S 0.2700 0.6818 0.5754
O1 O 0.0081 0.7080 0.1179
O2 O 0.0496 0.8008 0.5985
O3 O 0.2059 0.8701 0.9199
O4 O 0.2485 0.5277 0.6848
O5 O 0.2693 0.9789 0.1752
O6 O 0.2725 0.6176 0.4235
O7 O 0.4533 0.6992 0.0960
O8 O 0.4976 0.7936 0.6093
```

Nd2Mn3Sb4S12: theoretical XRD peak list (Cu Kα (λ = 1.5418 Å)), based on a cell relaxed with PBE.
Peak positions follow from Bragg's law for the DFT cell and can differ from measured ones.

Most intense lines, 10° ≤ 2θ ≤ 90°, sorted by position:
| Position (°2θ) | intensity | hkl |
| --- | --- | --- |
| 24.82 | 38 | 2 0 -4 |
| 25.70 | 30 | 1 1 1 |
| 26.08 | 55 | 1 1 -2 |
| 27.26 | 50 | 4 0 1 |
| 32.70 | 39 | 5 1 -3 |
| 33.41 | 100 | 5 1 -1 |
| 34.91 | 47 | 5 1 -4 |
| 41.73 | 31 | 1 1 -5 |
| 42.31 | 33 | 3 1 3 |
| 46.75 | 39 | 0 2 0 |

```
data_Nd2Mn3Sb4S12
_chemical_formula_sum 'Nd4 Mn6 Sb8 S24'
_cell_length_a 19.9582
_cell_length_b 3.8861
_cell_length_c 14.8740
_cell_angle_alpha 90.00
_cell_angle_beta 126.33
_cell_angle_gamma 90.00
_symmetry_space_group_name_H-M 'C 1 2/m 1'
_symmetry_Int_Tables_number 12
loop_
_symmetry_equiv_pos_as_xyz
'x,y,z'
'-x,-y,-z'
'-x,y,-z'
'x,-y,z'
'x+1/2,y+1/2,z'
'-x+1/2,-y+1/2,-z'
'-x+1/2,y+1/2,-z'
'x+1/2,-y+1/2,z'
loop_
_atom_site_label
_atom_site_type_symbol
_atom_site_fract_x
_atom_site_fract_y
_atom_site_fract_z
Nd1 Nd 0.2406 0.0000 0.1373
Mn1 Mn 0.0000 0.0000 0.0000
Mn2 Mn 0.1981 0.0000 0.3787
Sb1 Sb 0.0392 0.5000 0.8155
Sb2 Sb 0.1067 0.0000 0.5486
S1 S 0.0578 0.0000 0.1978
S2 S 0.0892 0.5000 0.6510
S3 S 0.1009 0.5000 0.0225
S4 S 0.1571 0.5000 0.4527
S5 S 0.1688 0.0000 0.8964
S6 S 0.2425 0.5000 0.2919
```

KPrSe2O8: theoretical XRD peak list (Cu Kα (λ = 1.5418 Å)), based on a cell relaxed with PBE.
Peak positions follow from Bragg's law for the DFT cell and can differ from measured ones.

Most intense lines, 10° ≤ 2θ ≤ 90°, sorted by position:
| Position (°2θ) | intensity | hkl |
| --- | --- | --- |
| 24.96 | 63 | 2 0 -2 |
| 26.85 | 100 | 1 2 -1 |
| 27.68 | 27 | 2 1 -2 |
| 28.35 | 77 | 2 1 2 |
| 28.64 | 22 | 1 1 3 |
| 31.84 | 33 | 0 0 4 |
| 41.84 | 27 | 4 1 0 |
| 44.88 | 31 | 1 3 3 |
| 47.98 | 24 | 1 2 -5 |
| 48.18 | 26 | 3 3 1 |

```
data_KPrSe2O8
_chemical_formula_sum 'K4 Pr4 Se8 O32'
_cell_length_a 9.0226
_cell_length_b 7.5001
_cell_length_c 11.2520
_cell_angle_alpha 90.00
_cell_angle_beta 91.68
_cell_angle_gamma 90.00
_symmetry_space_group_name_H-M 'P 1 21/c 1'
_symmetry_Int_Tables_number 14
loop_
_symmetry_equiv_pos_as_xyz
'x,y,z'
'-x,-y,-z'
'-x,y+1/2,-z+1/2'
'x,-y+1/2,z+1/2'
loop_
_atom_site_label
_atom_site_type_symbol
_atom_site_fract_x
_atom_site_fract_y
_atom_site_fract_z
K1 K 0.0626 0.1462 0.3430
Pr1 Pr 0.4434 0.6659 0.6516
Se1 Se 0.2221 0.6581 0.4101
Se2 Se 0.3129 0.1644 0.6079
O1 O 0.0919 0.5206 0.3630
O2 O 0.1315 0.1478 0.6020
O3 O 0.1976 0.7479 0.0438
O4 O 0.2539 0.6823 0.8090
O5 O 0.3657 0.1597 0.1953
O6 O 0.3794 0.1688 0.4714
O7 O 0.3836 0.5492 0.4445
O8 O 0.4007 0.9998 0.6869
```